[1]
The following is a calculated powder diffractogram of TlHgPbCl5. It was derived from DFT lattice parameters and positions (PBE), using Cu Ka.
Lines closer than 0.1° are merged.

Principal peaks in the range 10 to 90 degrees two-theta, sorted by position:
2θ 18.8, 4.721 Å, I 92
2θ 20.7, 4.282 Å, I 84
2θ 23.4, 3.800 Å, I 69
2θ 23.5, 3.782 Å, I 100
2θ 25.7, 3.464 Å, I 23
2θ 30.4, 2.943 Å, I 34
2θ 36.2, 2.482 Å, I 26
2θ 38.1, 2.364 Å, I 45
2θ 39.8, 2.265 Å, I 24
2θ 41.2, 2.191 Å, I 34
2θ 44.4, 2.038 Å, I 40
2θ 48.6, 1.872 Å, I 27

Structural model:
```
TlHgPbCl5
1.0
4.655 -6.323 0.000
4.655 6.323 0.000
-4.051 0.000 9.510
Tl Hg Pb Cl
2 2 2 10
Direct
0.160 0.840 0.750 Tl
0.840 0.160 0.250 Tl
0.180 0.820 0.250 Hg
0.820 0.180 0.750 Hg
0.500 0.500 0.000 Pb
0.500 0.500 0.500 Pb
0.117 0.234 0.946 Cl
0.166 0.583 0.382 Cl
0.234 0.117 0.446 Cl
0.406 0.594 0.750 Cl
0.417 0.834 0.118 Cl
0.583 0.166 0.882 Cl
0.594 0.406 0.250 Cl
0.766 0.883 0.554 Cl
0.834 0.417 0.618 Cl
0.883 0.766 0.054 Cl
```

[2]
The following is a calculated powder diffractogram of Li2PaFeN4. It was derived from DFT lattice parameters and positions (PBE), using Cu Ka.
Lines closer than 0.1° are merged.

Principal peaks in the range 10 to 90 degrees two-theta, sorted by position:
2θ 22.3, 3.984 Å, I 69
2θ 23.8, 3.743 Å, I 100
2θ 29.5, 3.026 Å, I 24
2θ 33.9, 2.647 Å, I 33
2θ 38.2, 2.353 Å, I 66
2θ 40.9, 2.205 Å, I 39
2θ 45.5, 1.992 Å, I 38
2θ 48.3, 1.885 Å, I 13
2θ 48.7, 1.872 Å, I 20
2θ 54.8, 1.674 Å, I 18
2θ 57.9, 1.592 Å, I 16
2θ 63.5, 1.465 Å, I 31

Structural model:
```
Li2PaFeN4
1.0
-2.647 2.647 3.026
2.647 -2.647 3.026
2.647 2.647 -3.026
Li Pa Fe N
2 1 1 4
Direct
0.250 0.750 0.500 Li
0.750 0.250 0.500 Li
0.000 0.000 0.000 Pa
0.500 0.500 0.000 Fe
0.145 0.544 0.000 N
0.456 0.456 0.601 N
0.544 0.145 0.000 N
0.855 0.855 0.399 N
```

[3]
The following is a calculated powder diffractogram of PmNd3Cd4. It was derived from DFT lattice parameters and positions (PBE), using Cu Ka.
Lines closer than 0.1° are merged.

Principal peaks in the range 10 to 90 degrees two-theta, sorted by position:
2θ 32.8, 2.727 Å, I 100
2θ 33.0, 2.714 Å, I 49
2θ 46.9, 1.938 Å, I 9
2θ 47.4, 1.919 Å, I 18
2θ 58.5, 1.577 Å, I 19
2θ 58.8, 1.569 Å, I 37
2θ 68.9, 1.363 Å, I 11
2θ 69.2, 1.357 Å, I 6
2θ 78.1, 1.224 Å, I 8
2θ 78.8, 1.214 Å, I 12
2θ 78.9, 1.213 Å, I 4
2θ 87.8, 1.111 Å, I 6

Structural model:
```
PmNd3Cd4
1.0
10.857 0.000 0.000
0.000 7.751 0.000
0.000 0.000 5.426
Pm Nd Cd
2 6 8
Direct
0.000 0.000 0.000 Pm
0.500 0.000 0.000 Pm
0.000 0.500 0.000 Nd
0.250 0.000 0.499 Nd
0.250 0.500 0.499 Nd
0.500 0.500 0.000 Nd
0.750 0.000 0.501 Nd
0.750 0.500 0.501 Nd
0.000 0.248 0.500 Cd
0.000 0.752 0.500 Cd
0.250 0.248 0.998 Cd
0.250 0.752 0.998 Cd
0.500 0.248 0.500 Cd
0.500 0.752 0.500 Cd
0.750 0.248 0.002 Cd
0.750 0.752 0.002 Cd
```

[4]
The following is a calculated powder diffractogram of BaCa. It was derived from DFT lattice parameters and positions (PBE), using Cu Ka.
Lines closer than 0.1° are merged.

Principal peaks in the range 10 to 90 degrees two-theta, sorted by position:
2θ 13.7, 6.444 Å, I 29
2θ 22.7, 3.925 Å, I 19
2θ 26.6, 3.352 Å, I 100
2θ 27.7, 3.225 Å, I 45
2θ 36.1, 2.490 Å, I 12
2θ 36.3, 2.472 Å, I 11
2θ 39.5, 2.280 Å, I 17
2θ 46.3, 1.962 Å, I 21
2θ 48.3, 1.885 Å, I 37
2θ 54.8, 1.676 Å, I 13
2θ 59.7, 1.550 Å, I 10
2θ 73.9, 1.282 Å, I 10

Structural model:
```
BaCa
1.0
2.472 -3.228 0.000
2.472 3.228 0.000
0.000 0.000 6.444
Ba Ca
1 1
Direct
0.000 0.000 0.000 Ba
0.500 0.500 0.500 Ca
```

[5]
The following is a calculated powder diffractogram of Ba2Ca7I18. It was derived from DFT lattice parameters and positions (PBE), using Cu Ka.
Lines closer than 0.1° are merged.

Principal peaks in the range 10 to 90 degrees two-theta, sorted by position:
2θ 23.2, 3.830 Å, I 44
2θ 25.3, 3.525 Å, I 47
2θ 26.0, 3.431 Å, I 100
2θ 26.4, 3.372 Å, I 46
2θ 26.6, 3.352 Å, I 46
2θ 26.9, 3.315 Å, I 50
2θ 27.0, 3.296 Å, I 48
2θ 33.8, 2.654 Å, I 17
2θ 34.7, 2.583 Å, I 25
2θ 35.3, 2.545 Å, I 13
2θ 40.8, 2.214 Å, I 41
2θ 40.9, 2.206 Å, I 22

Structural model:
```
Ba2Ca7I18
1.0
10.447 0.000 0.000
-0.976 11.084 0.000
-5.094 -1.533 10.327
Ba Ca I
2 7 18
Direct
0.211 0.368 0.219 Ba
0.789 0.632 0.781 Ba
0.097 0.108 0.701 Ca
0.289 0.782 0.606 Ca
0.296 0.815 0.121 Ca
0.500 0.500 0.000 Ca
0.704 0.185 0.879 Ca
0.711 0.218 0.394 Ca
0.903 0.892 0.299 Ca
0.017 0.172 0.929 I
0.022 0.338 0.574 I
0.163 0.853 0.811 I
0.188 0.538 0.971 I
0.210 0.028 0.499 I
0.350 0.685 0.368 I
0.386 0.091 0.244 I
0.418 0.220 0.897 I
0.428 0.556 0.722 I
0.572 0.444 0.278 I
0.582 0.780 0.103 I
0.614 0.909 0.756 I
0.650 0.315 0.632 I
0.790 0.972 0.501 I
0.812 0.462 0.029 I
0.837 0.147 0.189 I
0.978 0.662 0.426 I
0.983 0.828 0.071 I
```

[6]
The following is a calculated powder diffractogram of Mg2NbOsBr. It was derived from DFT lattice parameters and positions (PBE), using Cu Ka.
Lines closer than 0.1° are merged.

Principal peaks in the range 10 to 90 degrees two-theta, sorted by position:
2θ 15.5, 5.721 Å, I 90
2θ 22.0, 4.045 Å, I 100
2θ 29.4, 3.039 Å, I 50
2θ 31.3, 2.860 Å, I 73
2θ 35.1, 2.558 Å, I 25
2θ 39.1, 2.302 Å, I 20
2θ 44.8, 2.023 Å, I 27
2θ 45.3, 2.001 Å, I 30
2θ 50.4, 1.809 Å, I 22
2θ 50.9, 1.793 Å, I 37
2θ 61.0, 1.519 Å, I 21
2θ 65.6, 1.422 Å, I 20

Structural model:
```
Mg2NbOsBr
1.0
5.721 0.000 0.000
0.000 5.721 0.000
0.000 0.000 4.604
Mg Nb Os Br
2 1 1 1
Direct
0.000 0.500 0.000 Mg
0.500 0.000 0.000 Mg
0.000 0.000 0.000 Nb
0.000 0.000 0.500 Os
0.500 0.500 0.500 Br
```